(1)
Starting from a DFT-relaxed cell (GGA+U, the Materials Project), the PXRD pattern of NaSrSmWO6 was simulated for Cu Kα X-rays.
Peak positions follow from Bragg's law for the DFT cell and can differ from measured ones.

The 8 most intense peaks (10° ≤ 2θ ≤ 90°), sorted by position:
| 2θ/deg | I (rel.) |
| --- | --- |
| 21.01 | 46 |
| 29.88 | 100 |
| 42.77 | 32 |
| 48.12 | 19 |
| 53.05 | 41 |
| 62.08 | 20 |
| 70.41 | 18 |
| 86.02 | 22 |

Cell and atoms:
```
10
Lattice="0.0000 4.2286 4.2286 4.2286 0.0000 4.2286 4.2286 4.2286 0.0000" Properties=species:S:1:pos:R:3 pbc="T T T"
Na 0.0000 0.0000 0.0000
Sr 4.2286 4.2286 4.2286
Sm 6.3429 6.3429 6.3429
W 2.1143 2.1143 2.1143
O 2.1143 2.1143 0.1668
O 2.1143 0.1668 2.1143
O 4.0618 2.1143 2.1143
O 0.1668 2.1143 2.1143
O 2.1143 4.0618 2.1143
O 2.1143 2.1143 4.0618
```


(2)
Starting from a DFT-relaxed cell (GGA+U, the Materials Project), the PXRD pattern of NaSmV4O12 was simulated for Cu Kα X-rays.
Peak positions follow from Bragg's law for the DFT cell and can differ from measured ones.

The 8 most intense peaks (10° ≤ 2θ ≤ 90°), sorted by position:
| 2θ/deg | I (rel.) |
| --- | --- |
| 11.78 | 32 |
| 16.71 | 33 |
| 20.49 | 75 |
| 33.76 | 100 |
| 39.82 | 40 |
| 48.50 | 56 |
| 60.40 | 37 |
| 71.02 | 30 |

Cell and atoms:
```
18
Lattice="5.3070 0.0000 0.0000 0.0000 5.3070 0.0000 0.0000 0.0000 7.5147" Properties=species:S:1:pos:R:3 pbc="T T T"
Na 0.0000 0.0000 0.0000
Sm 2.6535 2.6535 3.7573
V 0.0000 2.6535 1.8398
V 0.0000 2.6535 5.6749
V 2.6535 0.0000 1.8398
V 2.6535 0.0000 5.6749
O 0.0000 2.6535 0.0000
O 0.0000 2.6535 3.7573
O 1.3554 1.3554 1.9254
O 1.3554 1.3554 5.5893
O 1.3554 3.9516 1.9254
O 1.3554 3.9516 5.5893
O 2.6535 0.0000 0.0000
O 2.6535 0.0000 3.7573
O 3.9516 1.3554 1.9254
O 3.9516 1.3554 5.5893
O 3.9516 3.9516 1.9254
O 3.9516 3.9516 5.5893
```


(3)
Starting from a DFT-relaxed cell (GGA+U, the Materials Project), the PXRD pattern of NaZrSnWO6 was simulated for Cu Kα X-rays.
Peak positions follow from Bragg's law for the DFT cell and can differ from measured ones.

The 8 most intense peaks (10° ≤ 2θ ≤ 90°), sorted by position:
| 2θ/deg | I (rel.) |
| --- | --- |
| 18.80 | 26 |
| 21.74 | 22 |
| 30.94 | 100 |
| 44.33 | 33 |
| 55.03 | 41 |
| 64.48 | 20 |
| 73.23 | 18 |
| 89.78 | 22 |

Cell and atoms:
```
10
Lattice="0.0000 4.0872 4.0872 4.0872 0.0000 4.0872 4.0872 4.0872 0.0000" Properties=species:S:1:pos:R:3 pbc="T T T"
Na 0.0000 0.0000 0.0000
Zr 6.1308 6.1308 6.1308
Sn 4.0872 4.0872 4.0872
W 2.0436 2.0436 2.0436
O 2.0436 2.0436 0.0622
O 2.0436 0.0622 2.0436
O 4.0250 2.0436 2.0436
O 0.0622 2.0436 2.0436
O 2.0436 4.0250 2.0436
O 2.0436 2.0436 4.0250
```